Diffraction record for NbI3O. The powder X-ray diffraction pattern is calculated, not measured: it uses DFT lattice parameters and positions (GGA-PBE) and λ = 1.5418 Å (Cu Kα).
Lines closer than 0.1° are merged.

Largest 10 diffraction maxima, in order of rising 2θ, 10° ≤ 2θ ≤ 90°:
23.75°, rel. 70
24.76°, rel. 28
25.09°, rel. 28
27.88°, rel. 100
30.17°, rel. 64
36.95°, rel. 22
39.84°, rel. 24
42.17°, rel. 56
51.32°, rel. 37
54.96°, rel. 29

Crystal structure
Cell: 12.798 12.798 3.918 Å, 90.00 90.00 90.00°
Positions (direct):
Nb1 0.125 0.125 0.000
Nb2 0.375 0.625 0.500
Nb3 0.625 0.375 0.500
Nb4 0.875 0.875 0.000
I1 0.105 0.895 0.000
I2 0.106 0.333 0.000
I3 0.167 0.606 0.500
I4 0.333 0.106 0.000
I5 0.394 0.833 0.500
I6 0.395 0.395 0.500
I7 0.605 0.605 0.500
I8 0.606 0.167 0.500
I9 0.667 0.894 0.000
I10 0.833 0.394 0.500
I11 0.894 0.667 0.000
I12 0.895 0.105 0.000
O1 0.119 0.119 0.500
O2 0.381 0.619 0.000
O3 0.619 0.381 0.000
O4 0.881 0.881 0.500

Diffraction record for PmLuSb2Pt2. The powder X-ray diffraction pattern is calculated, not measured: it uses DFT lattice parameters and positions (GGA-PBE) and λ = 1.5418 Å (Cu Kα).
Lines closer than 0.1° are merged.

Largest 10 diffraction maxima, in order of rising 2θ, 10° ≤ 2θ ≤ 90°:
23.27°, rel. 41
26.93°, rel. 5
38.45°, rel. 100
45.41°, rel. 18
55.51°, rel. 17
61.05°, rel. 4
69.42°, rel. 9
69.59°, rel. 26
82.28°, rel. 5
82.47°, rel. 6

Crystal structure
Cell: 9.375 4.676 14.043 Å, 90.00 109.37 90.00°
Positions (direct):
Pm1 0.000 0.000 0.000
Pm2 0.124 0.500 0.747
Pm3 0.250 0.000 0.498
Pm4 0.502 0.000 0.000
Lu1 0.377 0.500 0.250
Lu2 0.627 0.500 0.747
Lu3 0.749 0.000 0.497
Lu4 0.876 0.500 0.250
Sb1 0.126 0.000 0.251
Sb2 0.252 0.500 0.003
Sb3 0.379 0.000 0.749
Sb4 0.503 0.500 0.497
Sb5 0.627 0.000 0.251
Sb6 0.751 0.500 0.999
Sb7 0.870 0.000 0.745
Sb8 0.995 0.500 0.496
Pt1 0.068 0.500 0.133
Pt2 0.188 0.000 0.874
Pt3 0.324 0.500 0.627
Pt4 0.443 0.000 0.371
Pt5 0.568 0.500 0.132
Pt6 0.685 0.000 0.867
Pt7 0.804 0.500 0.619
Pt8 0.930 0.000 0.371

Diffraction record for HoHBrCl. The powder X-ray diffraction pattern is calculated, not measured: it uses DFT lattice parameters and positions (GGA-PBE) and λ = 1.5418 Å (Cu Kα).
Lines closer than 0.1° are merged.

Largest 10 diffraction maxima, in order of rising 2θ, 10° ≤ 2θ ≤ 90°:
12.23°, rel. 100
27.38°, rel. 18
28.08°, rel. 18
30.09°, rel. 79
37.14°, rel. 77
46.87°, rel. 21
48.40°, rel. 29
50.12°, rel. 18
62.59°, rel. 27
72.51°, rel. 17

Crystal structure
Cell: 3.761 3.761 14.470 Å, 90.00 90.00 120.00°
Positions (direct):
Ho1 0.000 0.000 0.246
Ho2 0.000 0.000 0.754
H1 0.333 0.667 0.247
H2 0.667 0.333 0.753
Br1 0.333 0.667 0.621
Br2 0.667 0.333 0.379
Cl1 0.333 0.667 0.873
Cl2 0.667 0.333 0.127

Diffraction record for Li3ErBiP. The powder X-ray diffraction pattern is calculated, not measured: it uses DFT lattice parameters and positions (GGA-PBE) and λ = 1.5418 Å (Cu Kα).
Lines closer than 0.1° are merged.

Largest 10 diffraction maxima, in order of rising 2θ, 10° ≤ 2θ ≤ 90°:
12.80°, rel. 53
23.77°, rel. 22
27.09°, rel. 100
35.34°, rel. 69
41.80°, rel. 36
43.89°, rel. 17
46.26°, rel. 20
50.52°, rel. 19
55.86°, rel. 19
72.14°, rel. 18

Crystal structure
Cell: 4.322 4.322 6.915 Å, 90.00 90.00 120.00°
Positions (direct):
Li1 0.000 0.000 0.000
Li2 0.333 0.667 0.113
Li3 0.667 0.333 0.831
Er1 0.000 0.000 0.524
Bi1 0.667 0.333 0.251
P1 0.333 0.667 0.742

Diffraction record for DyTeAuO. The powder X-ray diffraction pattern is calculated, not measured: it uses DFT lattice parameters and positions (GGA-PBE) and λ = 1.5418 Å (Cu Kα).
Lines closer than 0.1° are merged.

Largest 10 diffraction maxima, in order of rising 2θ, 10° ≤ 2θ ≤ 90°:
17.14°, rel. 37
28.05°, rel. 93
31.34°, rel. 100
32.59°, rel. 77
34.21°, rel. 95
35.98°, rel. 60
45.85°, rel. 66
48.45°, rel. 36
54.80°, rel. 42
57.68°, rel. 42

Crystal structure
Cell: 10.346 4.033 4.033 Å, 89.90 90.00 90.00°
Positions (direct):
Dy1 0.103 0.250 0.750
Dy2 0.897 0.750 0.250
Te1 0.277 0.751 0.251
Te2 0.723 0.251 0.751
Au1 0.500 0.001 0.001
Au2 0.500 0.501 0.501
O1 0.000 0.250 0.250
O2 0.000 0.750 0.750

Diffraction record for RbNaAsPd. The powder X-ray diffraction pattern is calculated, not measured: it uses DFT lattice parameters and positions (GGA-PBE) and λ = 1.5418 Å (Cu Kα).
Lines closer than 0.1° are merged.

Largest 10 diffraction maxima, in order of rising 2θ, 10° ≤ 2θ ≤ 90°:
14.81°, rel. 83
18.32°, rel. 84
21.35°, rel. 40
30.07°, rel. 75
33.90°, rel. 100
34.38°, rel. 80
36.65°, rel. 47
39.08°, rel. 57
43.48°, rel. 53
55.98°, rel. 33

Crystal structure
Cell: 5.797 6.157 6.157 Å, 76.27 90.00 90.00°
Positions (direct):
Rb1 0.250 0.146 0.854
Rb2 0.750 0.854 0.146
Na1 0.250 0.792 0.505
Na2 0.750 0.505 0.792
As1 0.250 0.584 0.067
As2 0.750 0.067 0.584
Pd1 0.000 0.341 0.341
Pd2 0.500 0.341 0.341

Diffraction record for Sc2Zn3W4C3. The powder X-ray diffraction pattern is calculated, not measured: it uses DFT lattice parameters and positions (GGA-PBE) and λ = 1.5418 Å (Cu Kα).
Lines closer than 0.1° are merged.

Largest 10 diffraction maxima, in order of rising 2θ, 10° ≤ 2θ ≤ 90°:
13.04°, rel. 58
19.23°, rel. 64
19.66°, rel. 35
33.39°, rel. 49
34.01°, rel. 37
38.83°, rel. 99
39.00°, rel. 100
39.22°, rel. 92
39.82°, rel. 70
59.68°, rel. 41

Crystal structure
Cell: 5.366 5.366 13.971 Å, 101.70 101.70 60.06°
Positions (direct):
Sc1 0.038 0.877 0.609
Sc2 0.123 0.962 0.891
Sc3 0.877 0.038 0.109
Sc4 0.962 0.123 0.391
Zn1 0.088 0.397 0.752
Zn2 0.397 0.088 0.252
Zn3 0.431 0.569 0.250
Zn4 0.569 0.431 0.750
Zn5 0.603 0.912 0.748
Zn6 0.912 0.603 0.248
W1 0.194 0.351 0.081
W2 0.294 0.483 0.419
W3 0.351 0.194 0.581
W4 0.483 0.294 0.919
W5 0.517 0.706 0.081
W6 0.649 0.806 0.419
W7 0.706 0.517 0.581
W8 0.806 0.649 0.919
C1 0.000 0.500 0.500
C2 0.167 0.665 0.000
C3 0.335 0.833 0.500
C4 0.500 0.000 0.000
C5 0.665 0.167 0.500
C6 0.833 0.335 0.000